This entry pairs a crystal structure of K4Sn9 with its simulated X-ray diffraction stick pattern. Radiation: Cu Kα, 1.54184 Å. Structure: a DFT-relaxed cell (GGA-PBE, Alexandria).
Kinematic intensities with the Lorentz-polarization factor, no thermal factor.

Top 12 peaks for 2θ = 10–90°, sorted by position:
Position (°2θ)  Rel. int.  (hkl)
11.86  100.0  1 0 -2
12.22  34.6  1 1 0
12.34  48.1  2 0 0
12.83  35.6  1 0 2
27.08  20.3  1 2 -3
28.00  26.9  4 0 2
29.72  30.9  3 2 -2
30.17  22.7  2 2 3
30.42  21.1  4 1 -3
32.60  19.7  1 3 0
33.83  26.8  2 0 -6
35.54  24.2  2 1 -6

```
K4Sn9
1.0
14.402 0.000 0.000
0.000 8.396 0.000
-1.465 0.000 16.522
K Sn
16 36
Direct
0.008 0.060 0.384
0.008 0.440 0.884
0.113 0.029 0.142
0.113 0.471 0.642
0.337 0.068 0.552
0.337 0.432 0.052
0.427 0.072 0.239
0.427 0.428 0.739
0.573 0.572 0.261
0.573 0.928 0.761
0.663 0.568 0.948
0.663 0.932 0.448
0.887 0.529 0.358
0.887 0.971 0.858
0.992 0.560 0.116
0.992 0.940 0.616
0.109 0.679 0.299
0.109 0.821 0.799
0.147 0.739 0.476
0.147 0.761 0.976
0.171 0.108 0.931
0.171 0.392 0.431
0.208 0.121 0.757
0.208 0.379 0.257
0.246 0.568 0.855
0.246 0.932 0.355
0.318 0.678 0.245
0.318 0.822 0.745
0.327 0.568 0.532
0.327 0.932 0.032
0.378 0.100 0.879
0.378 0.400 0.379
0.425 0.748 0.408
0.425 0.752 0.908
0.575 0.248 0.092
0.575 0.252 0.592
0.622 0.600 0.621
0.622 0.900 0.121
0.673 0.068 0.968
0.673 0.432 0.468
0.682 0.178 0.255
0.682 0.322 0.755
0.754 0.068 0.645
0.754 0.432 0.145
0.792 0.621 0.743
0.792 0.879 0.243
0.829 0.608 0.569
0.829 0.892 0.069
0.853 0.239 0.024
0.853 0.261 0.524
0.891 0.179 0.201
0.891 0.321 0.701
```